No. 1
This entry pairs a crystal structure of LiMg5 with its simulated powder X-ray diffraction pattern. Radiation: Cu Kα. Structure: a PBE-relaxed structure.
Kinematic intensities with the Lorentz-polarization factor, no thermal factor.

Cell and atoms:
abc: 3.1697 3.1697 15.3441
angles: 90.00 90.00 120.00
Space group P-6m2 (No. 187)
One atom of each set of equivalent atoms:
1 Li 0.0000 0.0000 0.0000 [1 per cell]
2 Mg 0.0000 0.0000 0.3330 [2 per cell]
3 Mg 0.3333 0.6667 0.1640 [2 per cell]
4 Mg 0.3333 0.6667 0.5000 [1 per cell]

Top 6 peaks for 2θ = 10–90°, sorted by position:
2θ (°)  Rel. int.
32.62  26
35.09  26
37.17  100
58.21  17
64.32  18
69.82  19


No. 2
This entry pairs a crystal structure of Mg6MnZn with its simulated powder X-ray diffraction pattern. Radiation: Cu Kα. Structure: a PBE-relaxed structure.
Kinematic intensities with the Lorentz-polarization factor, no thermal factor.

Cell and atoms:
abc: 4.920 6.156 10.671
angles: 90.00 90.00 90.00
Space group Amm2 (No. 38)
One atom of each set of equivalent atoms:
1 Mg 0.000 0.000 0.000 [2 per cell]
2 Mg 0.000 0.243 0.745 [4 per cell]
3 Mg 0.500 0.000 0.166 [2 per cell]
4 Mg 0.500 0.244 0.418 [4 per cell]
5 Mn 0.500 0.000 0.662 [2 per cell]
6 Zn 0.000 0.000 0.506 [2 per cell]

Top 6 peaks for 2θ = 10–90°, sorted by position:
2θ (°)  Rel. int.
16.62  29
33.61  25
36.53  26
38.40  100
66.99  18
72.42  18